For Ho2Al2Fe15, the PBE geometry in OQMD gives the simulated X-ray powder pattern in this record (Cu Kα (λ = 1.5418 Å)).
Intensities are scaled so that the largest is 100.

Structure:
a = 8.3057 Å, b = 8.3057 Å, c = 8.3429 Å
α = 90.00°, β = 90.00°, γ = 120.00°
Element x y z (fractional)
Ho (0.0000, 0.0000, 0.2500)
Ho (0.0000, 0.0000, 0.7500)
Ho (0.3333, 0.6667, 0.2500)
Ho (0.6667, 0.3333, 0.7500)
Al (0.3333, 0.6667, 0.6002)
Al (0.3333, 0.6667, 0.8998)
Al (0.6667, 0.3333, 0.1002)
Al (0.6667, 0.3333, 0.3998)
Fe (0.0000, 0.5000, 0.0000)
Fe (0.0000, 0.5000, 0.5000)
Fe (0.0331, 0.3637, 0.7500)
Fe (0.0331, 0.6694, 0.7500)
Fe (0.1653, 0.3305, 0.0121)
Fe (0.1653, 0.3305, 0.4879)
Fe (0.1653, 0.8347, 0.0121)
Fe (0.1653, 0.8347, 0.4879)
Fe (0.3305, 0.1653, 0.5121)
Fe (0.3305, 0.1653, 0.9879)
Fe (0.3306, 0.3637, 0.7500)
Fe (0.3306, 0.9669, 0.7500)
Fe (0.3637, 0.0331, 0.2500)
Fe (0.3637, 0.3306, 0.2500)
Fe (0.5000, 0.0000, 0.0000)
Fe (0.5000, 0.0000, 0.5000)
Fe (0.5000, 0.5000, 0.0000)
Fe (0.5000, 0.5000, 0.5000)
Fe (0.6363, 0.6694, 0.7500)
Fe (0.6363, 0.9669, 0.7500)
Fe (0.6694, 0.0331, 0.2500)
Fe (0.6694, 0.6363, 0.2500)
Fe (0.6695, 0.8347, 0.0121)
Fe (0.6695, 0.8347, 0.4879)
Fe (0.8347, 0.1653, 0.5121)
Fe (0.8347, 0.1653, 0.9879)
Fe (0.8347, 0.6695, 0.5121)
Fe (0.8347, 0.6695, 0.9879)
Fe (0.9669, 0.3306, 0.2500)
Fe (0.9669, 0.6363, 0.2500)

Principal peaks in the range 5° ≤ 2θ ≤ 70°, in order of rising 2θ:
(2 0 1), 27.00°, I = 10; (1 1 2), 30.37°, I = 29; (2 1 1), 34.70°, I = 9; (3 0 0), 37.51°, I = 22; (2 0 3), 41.03°, I = 13; (0 0 4), 43.38°, I = 24; (3 0 2), 43.55°, I = 100; (2 2 2), 49.00°, I = 10; (2 2 4), 63.19°, I = 14; (4 1 2), 63.31°, I = 9